Record 1
Structure and computed powder diffraction line list of TbZn6Cd6 (a GGA-PBE-relaxed structure; Cu Ka).

Atomic structure:
```
TbZn6Cd6
1.0
-2.792 4.659 4.748
2.792 -4.659 4.748
2.792 4.659 -4.748
Tb Zn Cd
1 6 6
Cartesian
0.000 0.000 0.000
1.396 2.329 -2.374
1.396 -2.329 2.374
2.792 0.000 2.152
-1.396 2.329 2.374
1.396 2.329 2.374
0.000 4.659 2.595
2.792 1.830 0.000
0.000 3.219 0.000
0.000 0.000 3.275
0.000 6.098 0.000
0.000 0.000 6.220
0.000 2.828 4.748
```

Largest 10 diffraction maxima, by angle, 2θ from 10° to 90°:
d [Å]	two_theta	I_rel
2.792	32.06	41
2.753	32.52	32
2.714	33.00	68
2.407	37.37	51
2.395	37.56	33
2.372	37.94	100
2.356	38.19	82
2.329	38.65	24
2.138	42.27	58
1.367	68.65	27

=====

Record 2
Structure and computed powder diffraction line list of La2Y4HoSc (a GGA-PBE-relaxed structure; Cu Ka).

Atomic structure:
```
La2Y4HoSc
1.0
5.059 0.000 0.000
0.000 5.080 0.000
0.000 0.000 10.091
La Y Ho Sc
2 4 1 1
Cartesian
0.000 0.000 0.000
2.529 2.540 5.046
0.000 2.540 2.477
0.000 2.540 7.614
2.529 0.000 2.487
2.529 0.000 7.604
0.000 0.000 5.046
2.529 2.540 0.000
```

Largest 10 diffraction maxima, by angle, 2θ from 10° to 90°:
d [Å]	two_theta	I_rel
2.922	30.59	100
2.540	35.33	17
2.526	35.54	33
1.791	50.98	23
1.786	51.14	12
1.530	60.50	14
1.526	60.71	14
1.523	60.84	13
1.461	63.69	12
1.163	83.06	6

=====

Record 3
Structure and computed powder diffraction line list of Ag5O2F2 (a GGA-PBE-relaxed structure; Cu Ka).

Atomic structure:
```
Ag5O2F2
1.0
-7.434 2.980 3.174
7.434 -2.980 3.174
7.434 2.980 -3.174
Ag O F
10 4 4
Cartesian
1.221 1.485 0.000
6.212 1.485 0.000
9.349 1.494 -0.008
5.518 -1.486 3.166
3.717 1.968 1.585
1.915 4.465 -0.008
-1.915 1.486 3.166
1.221 1.495 3.174
6.212 1.495 3.174
3.717 1.012 4.759
1.680 2.957 1.583
5.754 2.957 1.583
-1.680 3.003 1.583
1.680 0.023 4.756
3.717 -0.441 1.575
0.000 0.000 1.590
7.434 0.000 1.590
11.150 0.441 1.575
```

Largest 10 diffraction maxima, by angle, 2θ from 10° to 90°:
d [Å]	two_theta	I_rel
3.717	23.94	31
3.174	28.12	32
2.980	29.99	77
2.919	30.63	33
2.660	33.70	100
2.414	37.25	88
2.325	38.73	28
2.172	41.57	65
1.876	48.54	60
1.423	65.61	40

=====

Record 4
Structure and computed powder diffraction line list of K3Zn2Cl2F5 (a GGA-PBE-relaxed structure; Cu Ka).

Atomic structure:
```
K3Zn2Cl2F5
1.0
-2.137 2.137 11.676
2.137 -2.137 11.676
2.137 2.137 -11.676
K Zn Cl F
3 2 2 5
Cartesian
0.000 0.000 0.000
0.000 0.000 3.896
0.000 0.000 19.456
0.000 0.000 9.647
0.000 0.000 13.705
0.000 0.000 7.255
0.000 0.000 16.096
2.137 0.000 1.968
2.137 0.000 9.708
0.000 0.000 11.676
0.000 2.137 1.968
0.000 2.137 9.708
```

Largest 10 diffraction maxima, by angle, 2θ from 10° to 90°:
d [Å]	two_theta	I_rel
5.838	15.18	33
4.205	21.13	45
3.153	28.30	44
3.023	29.55	100
2.630	34.09	73
2.137	42.28	86
1.946	46.68	20
1.659	55.39	33
1.511	61.34	25
1.439	64.79	26

=====

Record 5
Structure and computed powder diffraction line list of CaNdMg17 (a GGA-PBE-relaxed structure; Cu Ka).

Atomic structure:
```
CaNdMg17
1.0
5.167 2.983 5.101
-5.167 2.983 5.101
0.000 -5.966 5.101
Ca Nd Mg
1 1 17
Cartesian
0.000 0.000 0.000
0.000 0.000 10.193
-1.566 -2.707 5.129
-3.127 -0.003 5.129
-2.623 -1.514 7.889
0.000 0.000 3.600
1.566 -2.707 5.129
-1.561 2.710 5.129
0.000 -2.952 7.700
-2.557 1.476 7.700
0.000 0.000 6.643
-2.518 -1.454 12.561
3.127 -0.003 5.129
1.561 2.710 5.129
2.623 -1.514 7.889
0.000 3.029 7.889
2.557 1.476 7.700
2.518 -1.454 12.561
0.000 2.908 12.561
```

Largest 10 diffraction maxima, by angle, 2θ from 10° to 90°:
d [Å]	two_theta	I_rel
7.725	11.45	44
5.816	15.24	28
3.630	24.52	50
3.094	28.86	22
2.983	29.95	45
2.908	30.75	23
2.584	34.72	55
2.575	34.84	100
2.550	35.19	28
2.526	35.54	22

=====

Record 6
Structure and computed powder diffraction line list of La2Pm4Dy (a GGA-PBE-relaxed structure; Cu Ka).

Atomic structure:
```
La2Pm4Dy
1.0
6.286 -11.777 0.000
6.286 11.777 0.000
0.000 0.000 6.659
La Pm Dy
8 16 4
Cartesian
6.286 11.017 4.994
4.539 5.888 1.665
8.032 5.888 1.665
6.286 0.759 4.994
6.286 -0.759 1.665
4.539 -5.888 4.994
8.032 -5.888 4.994
6.286 -11.017 1.665
1.523 2.577 4.303
4.736 7.858 5.593
4.736 3.919 4.396
1.523 -2.577 0.974
4.762 2.577 0.974
7.836 7.858 4.396
7.836 3.919 5.593
4.762 -2.577 4.303
7.809 2.577 2.356
4.736 -3.919 1.066
4.736 -7.858 2.263
7.809 -2.577 5.686
11.048 2.577 5.686
7.836 -3.919 2.263
7.836 -7.858 1.066
11.048 -2.577 2.356
3.143 0.000 2.928
3.143 0.000 6.258
9.428 0.000 0.402
9.428 0.000 3.731
```

Largest 10 diffraction maxima, by angle, 2θ from 10° to 90°:
d [Å]	two_theta	I_rel
3.611	24.66	24
3.037	29.41	47
2.978	30.01	61
2.921	30.61	100
2.855	31.34	22
2.833	31.58	36
2.773	32.29	44
2.591	34.62	34
2.475	36.30	22
2.105	42.96	24

=====

Record 7
Structure and computed powder diffraction line list of Mn2GaAu6 (a GGA-PBE-relaxed structure; Cu Ka).

Atomic structure:
```
Mn2GaAu6
1.0
8.515 0.000 0.000
0.000 8.515 0.000
0.000 0.000 4.235
Mn Ga Au
4 2 12
Cartesian
1.621 1.621 0.000
2.636 5.879 2.117
5.879 2.636 2.117
6.894 6.894 0.000
0.000 0.000 2.117
4.258 4.258 0.000
0.165 2.767 2.117
1.194 7.321 0.000
1.491 4.423 0.000
2.767 0.165 2.117
3.063 3.063 2.117
4.092 7.024 0.000
4.423 1.491 0.000
5.452 5.452 2.117
5.748 8.350 2.117
7.024 4.092 0.000
7.321 1.194 0.000
8.350 5.748 2.117
```

Largest 10 diffraction maxima, by angle, 2θ from 10° to 90°:
d [Å]	two_theta	I_rel
3.464	25.72	8
2.832	31.60	12
2.358	38.17	100
2.272	39.67	10
2.117	42.70	20
2.007	45.18	25
1.457	63.91	18
1.419	65.81	7
1.264	75.17	13
1.216	78.70	13

=====

Record 8
Structure and computed powder diffraction line list of Tm12Tl6Pb (a GGA-PBE-relaxed structure; Cu Ka).

Atomic structure:
```
Tm12Tl6Pb
1.0
6.769 3.908 4.037
-6.769 3.908 4.037
0.000 -7.816 4.037
Tm Tl Pb
12 6 1
Cartesian
-5.899 1.315 5.341
-4.088 -4.452 6.770
-1.710 -2.077 4.734
1.811 -5.766 5.341
-0.944 2.519 4.734
-2.654 0.442 7.377
2.654 -0.442 4.734
0.944 -2.519 7.377
-1.811 5.766 6.770
1.710 2.077 7.377
4.088 4.452 5.341
5.899 -1.315 6.770
-3.178 0.568 4.245
1.097 -3.037 4.245
-2.081 -2.468 7.866
2.081 2.468 4.245
-1.097 3.037 7.866
3.178 -0.568 7.866
0.000 0.000 0.000
```

Largest 10 diffraction maxima, by angle, 2θ from 10° to 90°:
d [Å]	two_theta	I_rel
4.162	21.35	64
4.037	22.02	21
2.932	30.49	16
2.865	31.22	23
2.559	35.07	100
2.500	35.92	80
2.161	41.80	20
1.788	51.08	27
1.477	62.92	13
1.466	63.47	23

=====

Record 9
Structure and computed powder diffraction line list of LiCd5Au4 (a GGA-PBE-relaxed structure; Cu Ka).

Atomic structure:
```
LiCd5Au4
1.0
6.995 -2.241 0.000
6.995 2.241 0.000
-0.176 0.000 6.794
Li Cd Au
1 5 4
Cartesian
0.000 0.000 0.000
-0.088 0.000 3.397
4.562 0.000 0.145
4.598 0.000 3.212
9.217 0.000 3.582
9.253 0.000 6.649
2.197 0.000 1.702
6.746 0.000 5.264
7.069 0.000 1.530
11.617 0.000 5.093
```

Largest 10 diffraction maxima, by angle, 2θ from 10° to 90°:
d [Å]	two_theta	I_rel
4.811	18.44	29
4.267	20.82	22
3.601	24.72	51
2.362	38.09	97
2.331	38.63	49
2.320	38.81	100
2.256	39.97	28
2.241	40.25	47
2.171	41.60	17
1.615	57.01	31

=====

Record 10
Structure and computed powder diffraction line list of Mn3SbH (a GGA-PBE-relaxed structure; Cu Ka).

Atomic structure:
```
Mn3SbH
1.0
0.000 5.003 5.003
5.003 0.000 5.003
5.003 5.003 0.000
Mn Sb H
12 4 4
Cartesian
3.753 3.753 0.518
3.753 0.518 3.753
6.987 3.753 3.753
6.254 6.254 3.020
6.254 3.020 6.254
9.489 6.254 6.254
0.518 3.753 3.753
3.753 6.987 3.753
3.753 3.753 6.987
3.020 6.254 6.254
6.254 9.489 6.254
6.254 6.254 9.489
5.003 2.502 2.502
2.502 5.003 2.502
2.502 2.502 5.003
5.003 5.003 5.003
0.000 0.000 0.000
2.502 2.502 0.000
2.502 0.000 2.502
0.000 2.502 2.502
```

Largest 10 diffraction maxima, by angle, 2θ from 10° to 90°:
d [Å]	two_theta	I_rel
3.017	29.61	47
2.889	30.96	67
2.296	39.24	100
2.043	44.35	33
1.926	47.19	66
1.769	51.67	34
1.509	61.46	27
1.223	78.19	15
1.179	81.64	18
1.155	83.70	22

=====

Record 11
Structure and computed powder diffraction line list of Cr2Rh3 (a GGA-PBE-relaxed structure; Cu Ka).

Atomic structure:
```
Cr2Rh3
1.0
2.692 0.000 0.000
0.000 11.319 0.000
-2.691 0.000 8.801
Cr Rh
8 12
Cartesian
-0.002 1.618 0.829
-1.348 4.042 5.230
0.001 0.639 3.083
-1.345 5.021 7.484
1.346 6.298 1.317
0.000 10.680 5.718
1.349 7.277 3.571
0.004 9.701 7.971
-1.343 1.512 5.069
0.003 4.148 0.669
0.000 8.416 1.697
-1.345 8.562 6.098
-1.342 0.519 7.586
0.004 5.140 3.186
-0.002 6.179 5.615
1.343 10.800 1.215
1.347 2.757 2.703
0.001 2.903 7.103
-0.001 7.171 8.132
1.344 9.807 3.732
```

Largest 10 diffraction maxima, by angle, 2θ from 10° to 90°:
d [Å]	two_theta	I_rel
3.469	25.68	22
2.380	37.80	34
2.344	38.41	45
2.200	41.02	20
2.160	41.83	48
2.127	42.51	100
2.013	45.03	88
1.954	46.48	49
1.872	48.64	51
1.119	87.09	25

=====

Record 12
Structure and computed powder diffraction line list of Cs2H4Ru (a GGA-PBE-relaxed structure; Cu Ka).

Atomic structure:
```
Cs2H4Ru
1.0
3.817 0.000 0.000
0.000 3.817 0.000
0.000 0.000 16.167
Cs H Ru
4 8 2
Cartesian
0.000 0.000 2.386
0.000 0.000 13.781
1.909 1.909 5.698
1.909 1.909 10.469
0.000 0.000 6.361
0.000 0.000 9.806
0.000 1.909 0.000
0.000 1.909 8.084
1.909 0.000 0.000
1.909 0.000 8.084
1.909 1.909 1.722
1.909 1.909 14.445
0.000 0.000 8.084
1.909 1.909 0.000
```

Largest 10 diffraction maxima, by angle, 2θ from 10° to 90°:
d [Å]	two_theta	I_rel
3.115	28.66	100
2.698	33.21	50
1.908	47.67	31
1.627	56.57	35
1.557	59.34	9
1.372	68.37	9
1.238	77.04	11
1.207	79.40	10
1.114	87.59	7
1.101	88.84	7